# CaTl2MoF6
Simulated X-ray powder pattern, Cu Ka. Input: the GGA+U geometry in Alexandria.

Peak list (8 most intense, 2θ from 15° to 90°, sorted by position)
2θ (°), intensity
19.91, 218
26.77, 303
28.48, 1000
29.77, 233
40.46, 345
48.35, 241
52.04, 195
58.95, 197

Structure:
```
CaTl2MoF6
1.0
-3.002 3.330 4.404
3.002 -3.330 4.404
3.002 3.330 -4.404
Ca Tl Mo F
1 2 1 6
Cartesian
0.000 0.000 0.000 Ca
3.002 0.000 2.337 Tl
0.000 3.330 2.067 Tl
0.000 0.000 4.404 Mo
1.610 1.586 0.000 F
4.393 1.586 0.000 F
0.000 0.000 2.258 F
0.000 0.000 6.551 F
-1.391 1.744 4.404 F
1.391 1.744 4.404 F
```